Record 1
Structure and simulated X-ray powder pattern of Ba8Gd4Cu12O27 (DFT lattice parameters and positions (PBE); Cu Ka).
Intensities are scaled so that the largest is 100.

```
data_Ba8Gd4Cu12O27
_chemical_formula_sum 'Ba16 Gd8 Cu24 O54'
_space_group_name_H-M_alt 'C 1 2/m 1'
_space_group_IT_number 12
_cell_length_a 15.466
_cell_length_b 7.866
_cell_length_c 12.498
_cell_angle_alpha 90.00
_cell_angle_beta 108.01
_cell_angle_gamma 90.00
loop_
_space_group_symop_operation_xyz
'x,y,z'
'-x,-y,-z'
'-x,y,-z'
'x,-y,z'
'x+1/2,y+1/2,z'
'-x+1/2,-y+1/2,-z'
'-x+1/2,y+1/2,-z'
'x+1/2,-y+1/2,z'
loop_
_atom_site_label
_atom_site_fract_x
_atom_site_fract_y
_atom_site_fract_z
_atom_site_occupancy
Ba1 0.080 0.000 0.318 1
Ba2 0.083 0.500 0.312 1
Ba3 0.171 0.000 0.682 1
Ba4 0.177 0.500 0.689 1
Gd1 0.000 0.000 0.000 1
Gd2 0.000 0.500 0.000 1
Gd3 0.250 0.000 0.999 1
Cu1 0.000 0.239 0.500 1
Cu2 0.089 0.251 0.856 1
Cu3 0.161 0.250 0.145 1
Cu4 0.250 0.250 0.500 1
O1 0.000 0.000 0.500 1
O2 0.031 0.250 0.124 1
O3 0.038 0.268 0.652 1
O4 0.094 0.000 0.876 1
O5 0.095 0.500 0.878 1
O6 0.156 0.000 0.123 1
O7 0.156 0.500 0.124 1
O8 0.210 0.250 0.342 1
O9 0.219 0.250 0.876 1
O10 0.249 0.500 0.500 1
```

Most intense lines, 2θ = 15–90°, in order of falling intensity:
2theta  d [Å]  Rel. int.  hkl
32.35  2.767  100  4 0 2
32.47  2.757  99  4 2 -1
32.07  2.791  94  0 2 3
57.50  1.603  38  4 4 2
58.04  1.589  34  8 2 1
57.27  1.609  33  4 2 5
46.16  1.966  29  0 4 0
39.83  2.263  29  4 2 2
47.00  1.933  27  8 0 -2
45.81  1.981  17  0 0 6


Record 2
Structure and simulated X-ray powder pattern of HfTaTiB4MoC4 (DFT lattice parameters and positions (PBE); Cu Ka).
Intensities are scaled so that the largest is 100.

```
data_HfTaTiB4MoC4
_chemical_formula_sum 'Hf2 Ta2 Ti2 B8 Mo2 C8'
_space_group_name_H-M_alt 'P -1'
_space_group_IT_number 2
_cell_length_a 5.733
_cell_length_b 5.740
_cell_length_c 7.445
_cell_angle_alpha 89.97
_cell_angle_beta 89.99
_cell_angle_gamma 60.04
loop_
_space_group_symop_operation_xyz
'x,y,z'
'-x,-y,-z'
loop_
_atom_site_label
_atom_site_fract_x
_atom_site_fract_y
_atom_site_fract_z
_atom_site_occupancy
Hf1 0.000 0.000 0.000 1
Hf2 0.500 0.000 0.500 1
Ta1 0.000 0.000 0.500 1
Ta2 0.000 0.500 0.000 1
Ti1 0.000 0.500 0.500 1
Ti2 0.500 0.500 0.000 1
B1 0.166 0.169 0.749 1
B2 0.170 0.663 0.748 1
B3 0.333 0.335 0.248 1
B4 0.336 0.830 0.248 1
Mo1 0.500 0.000 0.000 1
Mo2 0.500 0.500 0.500 1
C1 0.165 0.169 0.251 1
C2 0.167 0.666 0.251 1
C3 0.332 0.334 0.750 1
C4 0.333 0.833 0.751 1
```

Most intense lines, 2θ = 15–90°, in order of falling intensity:
2theta  d [Å]  Rel. int.  hkl
43.81  2.067  100  2 0 2
36.15  2.485  65  2 2 0
23.90  3.723  50  0 0 2
62.33  1.490  27  2 2 4
21.50  4.133  19  1 0 1
65.02  1.434  17  4 2 0
70.32  1.339  14  4 2 2
87.97  1.110  14  2 0 6
48.94  1.861  13  0 0 4
85.44  1.136  13  4 2 4